# 1
This entry pairs a crystal structure of Sr2SiBi with its simulated PXRD pattern. Radiation: copper Kα. Structure: a GGA-PBE-relaxed structure.
No peak broadening, texture or thermal motion is included.

Cell and atoms:
a = 8.8021 Å, b = 8.8021 Å, c = 6.9877 Å
α = 90.00°, β = 90.00°, γ = 90.00°
Space group I-42d (No. 122)
Symmetry-distinct sites (fractional):
Sr 0.2269 0.2500 0.1250
Si 0.0000 0.0000 0.0000
Bi 0.0000 0.0000 0.5000

Top 10 peaks for 2θ from 10° to 90°, by angle:
| h k l | d (Å) | I_rel |
| --- | --- | --- |
| 1 0 1 | 5.473 | 56 |
| 2 1 1 | 3.430 | 60 |
| 2 2 0 | 3.112 | 100 |
| 1 1 2 | 3.047 | 99 |
| 3 0 1 | 2.705 | 22 |
| 4 0 0 | 2.201 | 37 |
| 3 1 2 | 2.177 | 76 |
| 2 0 4 | 1.624 | 30 |
| 5 1 2 | 1.548 | 25 |
| 4 2 4 | 1.307 | 28 |

---

# 2
This entry pairs a crystal structure of Tb4SiBi with its simulated PXRD pattern. Radiation: copper Kα. Structure: a GGA-PBE-relaxed structure.
No peak broadening, texture or thermal motion is included.

Cell and atoms:
a = 15.8494 Å, b = 6.1842 Å, c = 7.5593 Å
α = 90.00°, β = 104.43°, γ = 90.00°
Space group C2/c (No. 15)
Symmetry-distinct sites (fractional):
Tb 0.0817 0.1013 0.4444
Tb 0.1698 0.3966 0.1418
Si 0.2500 0.2500 0.5000
Bi 0.0000 0.3720 0.7500

Top 10 peaks for 2θ from 10° to 90°, by angle:
| h k l | d (Å) | I_rel |
| --- | --- | --- |
| 2 0 0 | 7.675 | 25 |
| 3 1 1 | 3.222 | 49 |
| 4 0 -2 | 3.056 | 54 |
| 1 1 2 | 2.963 | 78 |
| 2 2 -1 | 2.759 | 100 |
| 5 1 0 | 2.750 | 40 |
| 6 0 -2 | 2.398 | 27 |
| 1 1 -3 | 2.325 | 31 |
| 3 3 1 | 1.809 | 22 |
| 1 3 -3 | 1.593 | 28 |

---

# 3
This entry pairs a crystal structure of TbSiBi with its simulated PXRD pattern. Radiation: copper Kα. Structure: a GGA-PBE-relaxed structure.
No peak broadening, texture or thermal motion is included.

Cell and atoms:
a = 4.4997 Å, b = 16.5224 Å, c = 4.0786 Å
α = 90.00°, β = 90.00°, γ = 90.00°
Space group Cmcm (No. 63)
Symmetry-distinct sites (fractional):
Tb 0.0000 0.0922 0.2500
Si 0.0000 0.4562 0.2500
Bi 0.0000 0.2537 0.7500

Top 10 peaks for 2θ from 10° to 90°, by angle:
| h k l | d (Å) | I_rel |
| --- | --- | --- |
| 0 2 0 | 8.261 | 31 |
| 0 2 1 | 3.657 | 15 |
| 1 1 1 | 2.973 | 12 |
| 0 6 0 | 2.754 | 24 |
| 1 3 1 | 2.649 | 100 |
| 2 0 0 | 2.250 | 17 |
| 0 0 2 | 2.039 | 12 |
| 2 6 0 | 1.742 | 13 |
| 1 9 1 | 1.569 | 15 |
| 3 3 1 | 1.364 | 13 |

---

# 4
This entry pairs a crystal structure of Th5SiBi4 with its simulated PXRD pattern. Radiation: copper Kα. Structure: a GGA-PBE-relaxed structure.
No peak broadening, texture or thermal motion is included.

Cell and atoms:
a = 10.1529 Å, b = 10.1529 Å, c = 6.3875 Å
α = 90.00°, β = 90.00°, γ = 90.00°
Space group I4/m (No. 87)
Symmetry-distinct sites (fractional):
Th 0.0000 0.0000 0.0000
Th 0.0955 0.7291 0.5000
Si 0.0000 0.0000 0.5000
Bi 0.0893 0.6922 0.0000

Top 10 peaks for 2θ from 10° to 90°, by angle:
| h k l | d (Å) | I_rel |
| --- | --- | --- |
| 3 1 0 | 3.211 | 100 |
| 0 0 2 | 3.194 | 52 |
| 2 3 1 | 2.577 | 11 |
| 2 4 0 | 2.270 | 34 |
| 3 1 2 | 2.264 | 78 |
| 2 4 2 | 1.850 | 37 |
| 6 2 2 | 1.435 | 27 |
| 3 1 4 | 1.430 | 19 |
| 1 7 2 | 1.310 | 19 |
| 2 4 4 | 1.306 | 12 |

---

# 5
This entry pairs a crystal structure of Tm3SiBi with its simulated PXRD pattern. Radiation: copper Kα. Structure: a GGA-PBE-relaxed structure.
No peak broadening, texture or thermal motion is included.

Cell and atoms:
a = 12.8114 Å, b = 7.0975 Å, c = 13.0838 Å
α = 90.00°, β = 105.51°, γ = 90.00°
Space group C2/c (No. 15)
Symmetry-distinct sites (fractional):
Tm 0.0699 0.2072 0.0699
Tm 0.1579 0.0549 0.8174
Tm 0.1693 0.4309 0.3857
Si 0.0000 0.2213 0.2500
Si 0.2500 0.2500 0.0000
Bi 0.1185 0.3267 0.6245

Top 10 peaks for 2θ from 10° to 90°, by angle:
| h k l | d (Å) | I_rel |
| --- | --- | --- |
| 0 0 4 | 3.152 | 53 |
| 4 0 -2 | 3.121 | 67 |
| 4 0 0 | 3.087 | 94 |
| 1 1 -4 | 2.970 | 57 |
| 2 2 -2 | 2.923 | 85 |
| 2 2 1 | 2.901 | 100 |
| 2 2 -3 | 2.657 | 56 |
| 2 2 2 | 2.630 | 61 |
| 1 1 5 | 2.231 | 40 |
| 4 4 -1 | 1.552 | 43 |

---

# 6
This entry pairs a crystal structure of Si3BiW with its simulated PXRD pattern. Radiation: copper Kα. Structure: a GGA-PBE-relaxed structure.
No peak broadening, texture or thermal motion is included.

Cell and atoms:
a = 4.8449 Å, b = 4.8449 Å, c = 4.8449 Å
α = 90.00°, β = 90.00°, γ = 90.00°
Space group Pm-3m (No. 221)
Symmetry-distinct sites (fractional):
Si 0.0000 0.0000 0.5000
Bi 0.5000 0.5000 0.5000
W 0.0000 0.0000 0.0000

Top 10 peaks for 2θ from 10° to 90°, by angle:
| h k l | d (Å) | I_rel |
| --- | --- | --- |
| 1 1 0 | 3.426 | 100 |
| 1 1 1 | 2.797 | 4 |
| 2 0 0 | 2.422 | 35 |
| 2 1 1 | 1.978 | 45 |
| 2 2 0 | 1.713 | 25 |
| 3 1 0 | 1.532 | 20 |
| 2 2 2 | 1.399 | 9 |
| 3 2 1 | 1.295 | 23 |
| 4 0 0 | 1.211 | 4 |
| 4 1 1 | 1.142 | 12 |

---

Q: Which formula does entry 2 have?
A: Tb4SiBi